(1)
For FeIrAu, a DFT-relaxed cell (GGA-PBE, Alexandria) gives the computed XRD peak list in this record (Cu Kα (weighted mean of Kα1 and Kα2)).
Lines closer than 0.1° are merged.

The 6 most intense peaks (10° ≤ 2θ ≤ 90°), sorted by position:
- 2θ = 26.37°, d = 3.380 Å, intensity 36.1
- 2θ = 39.23°, d = 2.297 Å, intensity 100.0
- 2θ = 40.55°, d = 2.225 Å, intensity 96.2
- 2θ = 44.57°, d = 2.033 Å, intensity 69.7
- 2θ = 69.10°, d = 1.359 Å, intensity 37.9
- 2θ = 80.24°, d = 1.196 Å, intensity 31.4

Structural model:
Cell lengths 4.991, 4.991, 4.991 Å; angles 147.37, 137.02, 54.98 degrees
Fractional positions:
Fe1 0.000 0.000 0.000
Ir1 0.366 0.366 0.000
Au1 0.678 0.678 0.000

---

(2)
For LaFe2Au, a DFT-relaxed cell (GGA-PBE, Alexandria) gives the computed XRD peak list in this record (Cu Kα (weighted mean of Kα1 and Kα2)).
Lines closer than 0.1° are merged.

The 6 most intense peaks (10° ≤ 2θ ≤ 90°), sorted by position:
- 2θ = 25.59°, d = 3.481 Å, intensity 76.1
- 2θ = 33.34°, d = 2.688 Å, intensity 100.0
- 2θ = 37.29°, d = 2.411 Å, intensity 91.6
- 2θ = 44.02°, d = 2.057 Å, intensity 84.8
- 2θ = 59.03°, d = 1.565 Å, intensity 24.0
- 2θ = 76.48°, d = 1.245 Å, intensity 22.5

Structural model:
Cell lengths 5.953, 5.953, 5.953 Å; angles 40.43, 40.43, 40.43 degrees
Fractional positions:
La1 0.000 0.000 0.000
Fe1 0.464 0.464 0.464
Fe2 0.793 0.793 0.793
Au1 0.205 0.205 0.205

---

(3)
For La6FeAu2, a DFT-relaxed cell (GGA-PBE, Alexandria) gives the computed XRD peak list in this record (Cu Kα (weighted mean of Kα1 and Kα2)).
Lines closer than 0.1° are merged.

The 6 most intense peaks (10° ≤ 2θ ≤ 90°), sorted by position:
- 2θ = 27.81°, d = 3.208 Å, intensity 28.6
- 2θ = 28.61°, d = 3.120 Å, intensity 49.2
- 2θ = 29.11°, d = 3.068 Å, intensity 100.0
- 2θ = 31.32°, d = 2.856 Å, intensity 50.1
- 2θ = 34.09°, d = 2.630 Å, intensity 27.6
- 2θ = 34.89°, d = 2.571 Å, intensity 30.8

Structural model:
Cell lengths 7.098, 7.564, 12.315 Å; angles 90.00, 121.33, 90.00 degrees
Fractional positions:
La1 0.122 0.029 0.249
La2 0.122 0.471 0.749
La3 0.240 0.696 0.063
La4 0.240 0.804 0.563
La5 0.355 0.190 0.054
La6 0.355 0.310 0.554
La7 0.645 0.690 0.446
La8 0.645 0.810 0.946
La9 0.760 0.196 0.437
La10 0.760 0.304 0.937
La11 0.878 0.529 0.251
La12 0.878 0.971 0.751
Fe1 0.000 0.000 0.000
Fe2 0.000 0.500 0.500
Au1 0.313 0.095 0.767
Au2 0.313 0.405 0.267
Au3 0.687 0.595 0.733
Au4 0.687 0.905 0.233

---

(4)
For LaTaFe2Au, a DFT-relaxed cell (GGA-PBE, Alexandria) gives the computed XRD peak list in this record (Cu Kα (weighted mean of Kα1 and Kα2)).
Lines closer than 0.1° are merged.

The 6 most intense peaks (10° ≤ 2θ ≤ 90°), sorted by position:
- 2θ = 25.13°, d = 3.543 Å, intensity 82.7
- 2θ = 26.61°, d = 3.350 Å, intensity 97.8
- 2θ = 33.58°, d = 2.669 Å, intensity 69.9
- 2θ = 37.99°, d = 2.369 Å, intensity 100.0
- 2θ = 43.35°, d = 2.087 Å, intensity 54.9
- 2θ = 51.59°, d = 1.772 Å, intensity 82.4

Structural model:
Cell lengths 4.738, 4.738, 5.337 Å; angles 90.00, 90.00, 90.00 degrees
Fractional positions:
La1 0.000 0.000 0.000
Ta1 0.500 0.500 0.000
Fe1 0.000 0.500 0.500
Fe2 0.500 0.000 0.500
Au1 0.000 0.000 0.500

---

(5)
For MgFeAu2, a DFT-relaxed cell (GGA-PBE, Alexandria) gives the computed XRD peak list in this record (Cu Kα (weighted mean of Kα1 and Kα2)).
Lines closer than 0.1° are merged.

The 6 most intense peaks (10° ≤ 2θ ≤ 90°), sorted by position:
- 2θ = 15.21°, d = 5.825 Å, intensity 42.2
- 2θ = 30.44°, d = 2.937 Å, intensity 64.7
- 2θ = 37.40°, d = 2.404 Å, intensity 68.6
- 2θ = 40.79°, d = 2.212 Å, intensity 100.0
- 2θ = 53.93°, d = 1.700 Å, intensity 23.9
- 2θ = 69.77°, d = 1.348 Å, intensity 40.9

Structural model:
Cell lengths 3.400, 3.400, 5.825 Å; angles 90.00, 90.00, 90.00 degrees
Fractional positions:
Mg1 0.000 0.000 0.000
Fe1 0.500 0.500 0.730
Au1 0.000 0.000 0.523
Au2 0.500 0.500 0.227

---

(6)
For FeNi2AuN, a DFT-relaxed cell (GGA-PBE, Alexandria) gives the computed XRD peak list in this record (Cu Kα (weighted mean of Kα1 and Kα2)).
Lines closer than 0.1° are merged.

The 6 most intense peaks (10° ≤ 2θ ≤ 90°), sorted by position:
- 2θ = 22.97°, d = 3.872 Å, intensity 22.4
- 2θ = 32.87°, d = 2.725 Å, intensity 29.2
- 2θ = 40.48°, d = 2.228 Å, intensity 100.0
- 2θ = 46.93°, d = 1.936 Å, intensity 36.8
- 2θ = 68.93°, d = 1.362 Å, intensity 22.2
- 2θ = 82.73°, d = 1.167 Å, intensity 24.4

Structural model:
Cell lengths 3.872, 3.872, 3.835 Å; angles 90.00, 90.00, 90.00 degrees
Fractional positions:
Fe1 0.000 0.000 0.000
Ni1 0.000 0.500 0.500
Ni2 0.500 0.000 0.500
Au1 0.500 0.500 0.000
N1 0.000 0.000 0.500

---

(7)
For NaFePAu, a DFT-relaxed cell (GGA-PBE, Alexandria) gives the computed XRD peak list in this record (Cu Kα (weighted mean of Kα1 and Kα2)).
Lines closer than 0.1° are merged.

The 6 most intense peaks (10° ≤ 2θ ≤ 90°), sorted by position:
- 2θ = 17.16°, d = 5.168 Å, intensity 100.0
- 2θ = 33.35°, d = 2.687 Å, intensity 28.3
- 2θ = 34.49°, d = 2.600 Å, intensity 33.4
- 2θ = 37.74°, d = 2.384 Å, intensity 75.3
- 2θ = 47.88°, d = 1.900 Å, intensity 24.3
- 2θ = 48.90°, d = 1.862 Å, intensity 32.0

Structural model:
Cell lengths 3.800, 3.800, 10.336 Å; angles 90.00, 90.00, 90.00 degrees
Fractional positions:
Na1 0.250 0.250 0.245
Na2 0.750 0.750 0.755
Fe1 0.250 0.750 0.500
Fe2 0.750 0.250 0.500
P1 0.250 0.250 0.607
P2 0.750 0.750 0.393
Au1 0.250 0.750 0.000
Au2 0.750 0.250 0.000

---

(8)
For Fe2NiRhAu, a DFT-relaxed cell (GGA-PBE, Alexandria) gives the computed XRD peak list in this record (Cu Kα (weighted mean of Kα1 and Kα2)).
Lines closer than 0.1° are merged.

The 6 most intense peaks (10° ≤ 2θ ≤ 90°), sorted by position:
- 2θ = 19.60°, d = 4.530 Å, intensity 100.0
- 2θ = 27.85°, d = 3.203 Å, intensity 47.6
- 2θ = 33.17°, d = 2.701 Å, intensity 74.4
- 2θ = 35.75°, d = 2.511 Å, intensity 47.3
- 2θ = 39.80°, d = 2.265 Å, intensity 70.0
- 2θ = 54.56°, d = 1.682 Å, intensity 54.5

Structural model:
Cell lengths 4.530, 4.530, 5.023 Å; angles 90.00, 90.00, 90.00 degrees
Fractional positions:
Fe1 0.000 0.500 0.000
Fe2 0.500 0.000 0.000
Ni1 0.000 0.000 0.500
Rh1 0.500 0.500 0.000
Au1 0.500 0.500 0.500

---

(9)
For FePOs2Au, a DFT-relaxed cell (GGA-PBE, Alexandria) gives the computed XRD peak list in this record (Cu Kα (weighted mean of Kα1 and Kα2)).
Lines closer than 0.1° are merged.

The 6 most intense peaks (10° ≤ 2θ ≤ 90°), sorted by position:
- 2θ = 14.45°, d = 6.128 Å, intensity 84.8
- 2θ = 35.25°, d = 2.546 Å, intensity 56.9
- 2θ = 39.20°, d = 2.298 Å, intensity 45.2
- 2θ = 42.08°, d = 2.147 Å, intensity 48.5
- 2θ = 42.70°, d = 2.118 Å, intensity 100.0
- 2θ = 46.35°, d = 1.959 Å, intensity 70.9

Structural model:
Cell lengths 4.354, 2.799, 6.236 Å; angles 90.00, 100.66, 90.00 degrees
Fractional positions:
Fe1 0.000 0.000 0.000
P1 0.375 0.500 0.927
Os1 0.084 0.500 0.347
Os2 0.555 0.000 0.234
Au1 0.681 0.500 0.644

---

(10)
For FePOs2Au, a DFT-relaxed cell (GGA-PBE, Alexandria) gives the computed XRD peak list in this record (Cu Kα (weighted mean of Kα1 and Kα2)).
Lines closer than 0.1° are merged.

The 6 most intense peaks (10° ≤ 2θ ≤ 90°), sorted by position:
- 2θ = 17.05°, d = 5.201 Å, intensity 83.3
- 2θ = 34.48°, d = 2.601 Å, intensity 82.4
- 2θ = 38.44°, d = 2.342 Å, intensity 97.5
- 2θ = 38.60°, d = 2.332 Å, intensity 100.0
- 2θ = 38.83°, d = 2.319 Å, intensity 99.4
- 2θ = 42.32°, d = 2.135 Å, intensity 55.7

Structural model:
Cell lengths 5.374, 5.374, 5.202 Å; angles 90.40, 90.40, 29.22 degrees
Fractional positions:
Fe1 0.000 0.000 0.000
P1 0.495 0.495 0.350
Os1 0.355 0.355 0.690
Os2 0.636 0.636 0.688
Au1 0.749 0.749 0.191

---

(11)
For FePOs2Au, a DFT-relaxed cell (GGA-PBE, Alexandria) gives the computed XRD peak list in this record (Cu Kα (weighted mean of Kα1 and Kα2)).
Lines closer than 0.1° are merged.

The 6 most intense peaks (10° ≤ 2θ ≤ 90°), sorted by position:
- 2θ = 34.77°, d = 2.580 Å, intensity 88.6
- 2θ = 37.91°, d = 2.373 Å, intensity 81.4
- 2θ = 39.36°, d = 2.289 Å, intensity 73.9
- 2θ = 40.35°, d = 2.235 Å, intensity 100.0
- 2θ = 42.17°, d = 2.143 Å, intensity 87.9
- 2θ = 45.52°, d = 1.993 Å, intensity 65.3

Structural model:
Cell lengths 2.785, 5.163, 5.223 Å; angles 91.64, 105.43, 90.13 degrees
Fractional positions:
Fe1 0.000 0.000 0.000
P1 0.041 0.580 0.079
Os1 0.388 0.335 0.774
Os2 0.658 0.290 0.315
Au1 0.268 0.829 0.545

---

(12)
For FePOs2Au, a DFT-relaxed cell (GGA-PBE, Alexandria) gives the computed XRD peak list in this record (Cu Kα (weighted mean of Kα1 and Kα2)).
Lines closer than 0.1° are merged.

The 6 most intense peaks (10° ≤ 2θ ≤ 90°), sorted by position:
- 2θ = 33.24°, d = 2.695 Å, intensity 82.8
- 2θ = 36.00°, d = 2.495 Å, intensity 100.0
- 2θ = 37.04°, d = 2.427 Å, intensity 66.1
- 2θ = 43.65°, d = 2.074 Å, intensity 71.4
- 2θ = 46.02°, d = 1.972 Å, intensity 69.4
- 2θ = 46.51°, d = 1.953 Å, intensity 87.0

Structural model:
Cell lengths 4.808, 4.808, 5.761 Å; angles 92.75, 92.75, 34.10 degrees
Fractional positions:
Fe1 0.000 0.000 0.000
P1 0.893 0.893 0.346
Os1 0.182 0.182 0.324
Os2 0.526 0.526 0.614
Au1 0.266 0.266 0.849